1.
Diffraction record for AcNd2Rh. The powder XRD pattern is simulated, not measured: it uses a PBE-relaxed structure and Cu Kα.
Lines closer than 0.1° are merged.

Structure:
```
data_AcNd2Rh
_cell_length_a 7.493
_cell_length_b 10.194
_cell_length_c 6.639
_cell_angle_alpha 90.00
_cell_angle_beta 90.00
_cell_angle_gamma 90.00
_space_group_name_H-M_alt 'P 1'
_space_group_IT_number 1
_space_group_name_Hall 'P 1'
loop_
_atom_site_label
_atom_site_fract_x
_atom_site_fract_y
_atom_site_fract_z
Ac1 0.039 0.250 0.145
Ac2 0.461 0.750 0.645
Ac3 0.539 0.250 0.355
Ac4 0.961 0.750 0.855
Nd1 0.173 0.069 0.668
Nd2 0.173 0.431 0.668
Nd3 0.327 0.569 0.168
Nd4 0.327 0.931 0.168
Nd5 0.673 0.069 0.832
Nd6 0.673 0.431 0.832
Nd7 0.827 0.569 0.332
Nd8 0.827 0.931 0.332
Rh1 0.120 0.750 0.418
Rh2 0.380 0.250 0.918
Rh3 0.620 0.750 0.082
Rh4 0.880 0.250 0.582
```

Top 10 peaks for 2θ = 5–70°, sorted by position:
2theta	d/Å	Rel. int.
28.73	3.107	51
29.51	3.027	95
29.59	3.019	51
30.74	2.909	100
31.91	2.805	42
32.59	2.748	60
46.34	1.959	26
50.68	1.801	39
53.22	1.721	28
54.20	1.692	27

2.
Diffraction record for La2Si2PbSe8. The powder XRD pattern is simulated, not measured: it uses a PBE-relaxed structure and Cu Kα.
Lines closer than 0.1° are merged.

Structure:
```
data_La2Si2PbSe8
_cell_length_a 9.491
_cell_length_b 9.491
_cell_length_c 10.774
_cell_angle_alpha 114.54
_cell_angle_beta 114.54
_cell_angle_gamma 60.56
_space_group_name_H-M_alt 'P 1'
_space_group_IT_number 1
_space_group_name_Hall 'P 1'
loop_
_atom_site_label
_atom_site_fract_x
_atom_site_fract_y
_atom_site_fract_z
La1 0.057 0.943 0.500
La2 0.247 0.444 0.994
La3 0.444 0.247 0.494
La4 0.943 0.057 0.000
Si1 0.172 0.649 0.723
Si2 0.326 0.857 0.266
Si3 0.649 0.172 0.223
Si4 0.857 0.326 0.766
Pb1 0.584 0.745 0.987
Pb2 0.745 0.584 0.487
Se1 0.084 0.262 0.699
Se2 0.091 0.794 0.188
Se3 0.098 0.582 0.481
Se4 0.228 0.887 0.815
Se5 0.262 0.084 0.199
Se6 0.402 0.425 0.793
Se7 0.407 0.930 0.510
Se8 0.425 0.402 0.293
Se9 0.524 0.621 0.166
Se10 0.582 0.098 0.981
Se11 0.621 0.524 0.666
Se12 0.705 0.960 0.309
Se13 0.794 0.091 0.688
Se14 0.887 0.228 0.315
Se15 0.930 0.407 0.010
Se16 0.960 0.705 0.809
```

Top 10 peaks for 2θ = 5–70°, sorted by position:
2theta	d/Å	Rel. int.
20.77	4.277	100
21.18	4.196	48
32.50	2.755	78
32.78	2.732	49
33.76	2.655	66
34.09	2.630	53
34.60	2.593	54
37.55	2.395	59
38.09	2.363	49
51.35	1.779	31

3.
Diffraction record for PmZn8Ni4. The powder XRD pattern is simulated, not measured: it uses a PBE-relaxed structure and Cu Kα.
Lines closer than 0.1° are merged.

Structure:
```
data_PmZn8Ni4
_cell_length_a 6.608
_cell_length_b 6.608
_cell_length_c 6.608
_cell_angle_alpha 98.47
_cell_angle_beta 98.47
_cell_angle_gamma 134.86
_space_group_name_H-M_alt 'P 1'
_space_group_IT_number 1
_space_group_name_Hall 'P 1'
loop_
_atom_site_label
_atom_site_fract_x
_atom_site_fract_y
_atom_site_fract_z
Pm1 0.000 0.000 0.000
Zn1 0.000 0.344 0.344
Zn2 0.000 0.656 0.656
Zn3 0.276 0.500 0.776
Zn4 0.344 0.000 0.344
Zn5 0.500 0.276 0.776
Zn6 0.500 0.724 0.224
Zn7 0.656 0.000 0.656
Zn8 0.724 0.500 0.224
Ni1 0.000 0.000 0.500
Ni2 0.000 0.500 0.000
Ni3 0.500 0.000 0.000
Ni4 0.500 0.500 0.500
```

Top 10 peaks for 2θ = 5–70°, sorted by position:
2theta	d/Å	Rel. int.
29.07	3.071	22
32.82	2.729	14
35.39	2.536	22
35.89	2.502	51
41.29	2.186	69
41.73	2.164	100
41.87	2.157	66
46.57	1.950	46
47.10	1.930	15
67.87	1.381	22